No. 1
This entry pairs a crystal structure of LiNp2Tl2S6 with its theoretical powder diffractogram. Radiation: Cu Kα, 1.54184 Å. Structure: a PBE-relaxed structure.

Largest 8 diffraction maxima, in order of falling intensity, 15° ≤ 2θ ≤ 90°:
- 30.39 deg, I 100.0
- 27.30 deg, I 80.6
- 17.14 deg, I 76.6
- 31.17 deg, I 59.0
- 23.78 deg, I 43.0
- 21.64 deg, I 42.3
- 41.85 deg, I 37.0
- 46.22 deg, I 32.7

Crystal structure
abc: 6.858 6.858 7.766
angles: 97.61 97.61 120.75
Element x y z (fractional)
Li (0.000, 0.000, 0.000)
Np (0.335, 0.665, 0.000)
Np (0.665, 0.335, 0.000)
Tl (0.158, 0.842, 0.500)
Tl (0.842, 0.158, 0.500)
S (0.056, 0.415, 0.194)
S (0.284, 0.284, 0.816)
S (0.415, 0.056, 0.194)
S (0.585, 0.944, 0.806)
S (0.716, 0.716, 0.184)
S (0.944, 0.585, 0.806)

No. 2
This entry pairs a crystal structure of Tm2ScHgN with its theoretical powder diffractogram. Radiation: Cu Kα, 1.54184 Å. Structure: a PBE-relaxed structure.

Largest 8 diffraction maxima, in order of falling intensity, 15° ≤ 2θ ≤ 90°:
- 33.52 deg, I 100.0
- 38.14 deg, I 38.7
- 66.00 deg, I 28.7
- 56.76 deg, I 24.3
- 40.39 deg, I 16.5
- 27.50 deg, I 14.7
- 55.04 deg, I 13.3
- 70.45 deg, I 12.7

Crystal structure
abc: 4.719 4.719 4.466
angles: 90.00 90.00 90.00
Element x y z (fractional)
Tm (0.000, 0.500, 0.000)
Tm (0.500, 0.000, 0.000)
Sc (0.000, 0.000, 0.500)
Hg (0.500, 0.500, 0.500)
N (0.000, 0.000, 0.000)

No. 3
This entry pairs a crystal structure of Tm4IrRh2 with its theoretical powder diffractogram. Radiation: Cu Kα, 1.54184 Å. Structure: a PBE-relaxed structure.

Largest 8 diffraction maxima, in order of falling intensity, 15° ≤ 2θ ≤ 90°:
- 33.42 deg, I 100.0
- 39.82 deg, I 68.8
- 33.62 deg, I 55.5
- 39.95 deg, I 21.9
- 50.58 deg, I 15.7
- 68.19 deg, I 15.5
- 55.24 deg, I 15.4
- 55.37 deg, I 14.1

Crystal structure
abc: 7.328 7.328 7.328
angles: 109.84 109.30 109.28
Element x y z (fractional)
Tm (0.001, 0.128, 0.002)
Tm (0.130, 0.997, 0.499)
Tm (0.370, 0.868, 0.867)
Tm (0.499, 0.501, 0.127)
Tm (0.502, 0.503, 0.633)
Tm (0.626, 0.999, 0.498)
Tm (0.874, 0.372, 0.373)
Tm (0.998, 0.632, 0.001)
Ir (0.250, 0.620, 0.370)
Ir (0.750, 0.880, 0.130)
Rh (0.116, 0.366, 0.750)
Rh (0.384, 0.134, 0.250)
Rh (0.626, 0.250, 0.876)
Rh (0.874, 0.750, 0.624)

No. 4
This entry pairs a crystal structure of Pm4Pr2NdDy with its theoretical powder diffractogram. Radiation: Cu Kα, 1.54184 Å. Structure: a PBE-relaxed structure.

Largest 8 diffraction maxima, in order of falling intensity, 15° ≤ 2θ ≤ 90°:
- 29.74 deg, I 100.0
- 40.26 deg, I 87.9
- 26.51 deg, I 68.3
- 29.60 deg, I 48.4
- 40.15 deg, I 42.3
- 63.38 deg, I 33.6
- 59.85 deg, I 24.0
- 52.60 deg, I 17.8

Crystal structure
abc: 9.654 9.654 6.960
angles: 110.93 110.93 88.30
Element x y z (fractional)
Pm (0.244, 0.755, 0.999)
Pm (0.245, 0.756, 0.501)
Pm (0.246, 0.246, 0.458)
Pm (0.246, 0.246, 0.958)
Pm (0.754, 0.754, 0.042)
Pm (0.754, 0.754, 0.542)
Pm (0.755, 0.244, 0.499)
Pm (0.756, 0.245, 0.001)
Pr (0.000, 0.500, 0.000)
Pr (0.500, 0.000, 0.500)
Pr (0.500, 0.500, 0.000)
Pr (0.500, 0.500, 0.500)
Nd (0.000, 0.500, 0.500)
Nd (0.500, 0.000, 0.000)
Dy (0.000, 0.000, 0.000)
Dy (0.000, 0.000, 0.500)

No. 5
This entry pairs a crystal structure of Ba8AgP3Br4 with its theoretical powder diffractogram. Radiation: Cu Kα, 1.54184 Å. Structure: a PBE-relaxed structure.

Largest 8 diffraction maxima, in order of falling intensity, 15° ≤ 2θ ≤ 90°:
- 26.36 deg, I 100.0
- 38.06 deg, I 38.4
- 37.17 deg, I 34.4
- 46.89 deg, I 19.8
- 61.91 deg, I 17.1
- 22.95 deg, I 14.3
- 60.67 deg, I 12.3
- 54.25 deg, I 11.0

Crystal structure
abc: 9.681 9.681 9.681
angles: 58.48 58.48 58.48
Element x y z (fractional)
Ba (0.227, 0.746, 0.746)
Ba (0.238, 0.238, 0.238)
Ba (0.254, 0.254, 0.773)
Ba (0.254, 0.773, 0.254)
Ba (0.746, 0.227, 0.746)
Ba (0.746, 0.746, 0.227)
Ba (0.762, 0.762, 0.762)
Ba (0.773, 0.254, 0.254)
Ag (0.500, 0.500, 0.500)
P (0.000, 0.000, 0.500)
P (0.000, 0.500, 0.000)
P (0.500, 0.000, 0.000)
Br (0.000, 0.000, 0.000)
Br (0.000, 0.500, 0.500)
Br (0.500, 0.000, 0.500)
Br (0.500, 0.500, 0.000)

No. 6
This entry pairs a crystal structure of Ho10ErTm4 with its theoretical powder diffractogram. Radiation: Cu Kα, 1.54184 Å. Structure: a PBE-relaxed structure.

Largest 8 diffraction maxima, in order of falling intensity, 15° ≤ 2θ ≤ 90°:
- 33.42 deg, I 100.0
- 59.73 deg, I 38.1
- 20.28 deg, I 26.7
- 47.98 deg, I 18.3
- 80.02 deg, I 16.5
- 39.41 deg, I 14.8
- 23.46 deg, I 12.7
- 70.20 deg, I 11.8

Crystal structure
abc: 9.289 9.289 9.289
angles: 99.59 99.59 131.83
Element x y z (fractional)
Ho (0.050, 0.151, 0.700)
Ho (0.151, 0.451, 0.101)
Ho (0.250, 0.750, 0.500)
Ho (0.350, 0.050, 0.899)
Ho (0.451, 0.350, 0.300)
Ho (0.549, 0.650, 0.700)
Ho (0.650, 0.950, 0.101)
Ho (0.750, 0.250, 0.500)
Ho (0.849, 0.549, 0.899)
Ho (0.950, 0.849, 0.300)
Er (0.000, 0.000, 0.000)
Tm (0.200, 0.600, 0.800)
Tm (0.400, 0.200, 0.600)
Tm (0.600, 0.800, 0.400)
Tm (0.800, 0.400, 0.200)

No. 7
This entry pairs a crystal structure of Na8Si7O18 with its theoretical powder diffractogram. Radiation: Cu Kα, 1.54184 Å. Structure: a PBE-relaxed structure.

Largest 8 diffraction maxima, in order of falling intensity, 15° ≤ 2θ ≤ 90°:
- 34.19 deg, I 100.0
- 35.90 deg, I 85.7
- 50.41 deg, I 66.0
- 28.07 deg, I 45.1
- 24.59 deg, I 39.4
- 63.43 deg, I 35.2
- 76.09 deg, I 20.3
- 60.09 deg, I 19.6

Crystal structure
abc: 7.258 7.258 7.258
angles: 87.17 87.17 87.17
Element x y z (fractional)
Na (0.000, 0.000, 0.500)
Na (0.000, 0.500, 0.000)
Na (0.000, 0.500, 0.500)
Na (0.236, 0.236, 0.236)
Na (0.500, 0.000, 0.000)
Na (0.500, 0.000, 0.500)
Na (0.500, 0.500, 0.000)
Na (0.764, 0.764, 0.764)
Si (0.000, 0.000, 0.000)
Si (0.261, 0.728, 0.728)
Si (0.272, 0.272, 0.739)
Si (0.272, 0.739, 0.272)
Si (0.728, 0.261, 0.728)
Si (0.728, 0.728, 0.261)
Si (0.739, 0.272, 0.272)
O (0.081, 0.831, 0.831)
O (0.169, 0.169, 0.919)
O (0.169, 0.919, 0.169)
O (0.213, 0.213, 0.544)
O (0.213, 0.544, 0.213)
O (0.234, 0.500, 0.766)
O (0.234, 0.766, 0.500)
O (0.456, 0.787, 0.787)
O (0.500, 0.234, 0.766)
O (0.500, 0.766, 0.234)
O (0.544, 0.213, 0.213)
O (0.766, 0.234, 0.500)
O (0.766, 0.500, 0.234)
O (0.787, 0.456, 0.787)
O (0.787, 0.787, 0.456)
O (0.831, 0.081, 0.831)
O (0.831, 0.831, 0.081)
O (0.919, 0.169, 0.169)

No. 8
This entry pairs a crystal structure of Tb3HoIn4 with its theoretical powder diffractogram. Radiation: Cu Kα, 1.54184 Å. Structure: a PBE-relaxed structure.

Largest 8 diffraction maxima, in order of falling intensity, 15° ≤ 2θ ≤ 90°:
- 33.64 deg, I 100.0
- 60.15 deg, I 36.8
- 48.31 deg, I 17.9
- 80.63 deg, I 15.8
- 70.72 deg, I 11.3
- 23.61 deg, I 2.7
- 54.45 deg, I 1.3
- 41.51 deg, I 0.9

Crystal structure
abc: 3.767 3.767 15.080
angles: 90.00 90.00 90.00
Element x y z (fractional)
Tb (0.000, 0.000, 0.000)
Tb (0.000, 0.000, 0.251)
Tb (0.000, 0.000, 0.749)
Ho (0.000, 0.000, 0.500)
In (0.500, 0.500, 0.126)
In (0.500, 0.500, 0.377)
In (0.500, 0.500, 0.623)
In (0.500, 0.500, 0.874)

No. 9
This entry pairs a crystal structure of Ac5La5Sm2 with its theoretical powder diffractogram. Radiation: Cu Kα, 1.54184 Å. Structure: a PBE-relaxed structure.

Largest 8 diffraction maxima, in order of falling intensity, 15° ≤ 2θ ≤ 90°:
- 28.55 deg, I 100.0
- 33.08 deg, I 51.1
- 47.48 deg, I 37.5
- 56.30 deg, I 30.3
- 56.42 deg, I 14.8
- 59.09 deg, I 13.0
- 76.68 deg, I 12.2
- 88.38 deg, I 8.8

Crystal structure
abc: 8.551 8.551 12.112
angles: 115.05 115.05 36.97
Element x y z (fractional)
Ac (0.000, 0.000, 0.000)
Ac (0.162, 0.162, 0.497)
Ac (0.253, 0.253, 0.247)
Ac (0.747, 0.747, 0.753)
Ac (0.838, 0.838, 0.503)
La (0.333, 0.333, 0.000)
La (0.421, 0.421, 0.753)
La (0.500, 0.500, 0.500)
La (0.579, 0.579, 0.247)
La (0.667, 0.667, 0.000)
Sm (0.084, 0.084, 0.755)
Sm (0.916, 0.916, 0.245)

No. 10
This entry pairs a crystal structure of Cs2SrAsO4 with its theoretical powder diffractogram. Radiation: Cu Kα, 1.54184 Å. Structure: a PBE-relaxed structure.

Largest 8 diffraction maxima, in order of falling intensity, 15° ≤ 2θ ≤ 90°:
- 24.29 deg, I 100.0
- 18.77 deg, I 75.2
- 31.96 deg, I 57.6
- 45.14 deg, I 51.8
- 27.03 deg, I 46.2
- 26.85 deg, I 41.5
- 30.12 deg, I 36.6
- 23.13 deg, I 33.4

Crystal structure
abc: 14.775 13.577 7.286
angles: 84.45 66.15 29.40
Element x y z (fractional)
Cs (0.061, 0.061, 0.689)
Cs (0.311, 0.311, 0.939)
Cs (0.689, 0.689, 0.061)
Cs (0.939, 0.939, 0.311)
Sr (0.125, 0.125, 0.125)
Sr (0.875, 0.875, 0.875)
As (0.375, 0.375, 0.375)
As (0.625, 0.625, 0.625)
O (0.087, 0.594, 0.505)
O (0.314, 0.505, 0.594)
O (0.406, 0.913, 0.686)
O (0.495, 0.686, 0.913)
O (0.505, 0.314, 0.087)
O (0.594, 0.087, 0.314)
O (0.686, 0.495, 0.406)
O (0.913, 0.406, 0.495)

No. 11
This entry pairs a crystal structure of Sc3Cd7 with its theoretical powder diffractogram. Radiation: Cu Kα, 1.54184 Å. Structure: a PBE-relaxed structure.

Largest 8 diffraction maxima, in order of falling intensity, 15° ≤ 2θ ≤ 90°:
- 35.31 deg, I 100.0
- 35.00 deg, I 96.0
- 38.78 deg, I 38.7
- 39.09 deg, I 34.9
- 44.39 deg, I 24.5
- 67.98 deg, I 23.4
- 56.24 deg, I 23.3
- 60.39 deg, I 18.0

Crystal structure
abc: 8.315 8.315 6.194
angles: 107.30 107.30 32.43
Element x y z (fractional)
Sc (0.000, 0.000, 0.000)
Sc (0.202, 0.202, 0.621)
Sc (0.798, 0.798, 0.379)
Cd (0.000, 0.000, 0.500)
Cd (0.198, 0.198, 0.119)
Cd (0.395, 0.395, 0.170)
Cd (0.403, 0.403, 0.677)
Cd (0.597, 0.597, 0.323)
Cd (0.605, 0.605, 0.830)
Cd (0.802, 0.802, 0.881)

No. 12
This entry pairs a crystal structure of Na2Sr6Ir with its theoretical powder diffractogram. Radiation: Cu Kα, 1.54184 Å. Structure: a PBE-relaxed structure.

Largest 8 diffraction maxima, in order of falling intensity, 15° ≤ 2θ ≤ 90°:
- 30.03 deg, I 100.0
- 42.99 deg, I 74.0
- 25.93 deg, I 50.8
- 33.68 deg, I 49.7
- 24.81 deg, I 36.2
- 70.81 deg, I 32.8
- 45.74 deg, I 26.6
- 53.33 deg, I 25.9

Crystal structure
abc: 8.415 8.415 8.417
angles: 120.01 120.01 60.01
Element x y z (fractional)
Na (0.250, 0.250, 0.250)
Na (0.750, 0.750, 0.750)
Sr (0.244, 0.244, 0.744)
Sr (0.244, 0.756, 0.256)
Sr (0.244, 0.756, 0.744)
Sr (0.756, 0.244, 0.256)
Sr (0.756, 0.244, 0.744)
Sr (0.756, 0.756, 0.256)
Ir (0.000, 0.000, 0.500)

Copy entry 5 word for word.
This entry pairs a crystal structure of Ba8AgP3Br4 with its theoretical powder diffractogram. Radiation: Cu Kα, 1.54184 Å. Structure: a PBE-relaxed structure.

Largest 8 diffraction maxima, in order of falling intensity, 15° ≤ 2θ ≤ 90°:
- 26.36 deg, I 100.0
- 38.06 deg, I 38.4
- 37.17 deg, I 34.4
- 46.89 deg, I 19.8
- 61.91 deg, I 17.1
- 22.95 deg, I 14.3
- 60.67 deg, I 12.3
- 54.25 deg, I 11.0

Crystal structure
abc: 9.681 9.681 9.681
angles: 58.48 58.48 58.48
Element x y z (fractional)
Ba (0.227, 0.746, 0.746)
Ba (0.238, 0.238, 0.238)
Ba (0.254, 0.254, 0.773)
Ba (0.254, 0.773, 0.254)
Ba (0.746, 0.227, 0.746)
Ba (0.746, 0.746, 0.227)
Ba (0.762, 0.762, 0.762)
Ba (0.773, 0.254, 0.254)
Ag (0.500, 0.500, 0.500)
P (0.000, 0.000, 0.500)
P (0.000, 0.500, 0.000)
P (0.500, 0.000, 0.000)
Br (0.000, 0.000, 0.000)
Br (0.000, 0.500, 0.500)
Br (0.500, 0.000, 0.500)
Br (0.500, 0.500, 0.000)